Entry 1:
This entry pairs a crystal structure of MgCo2O4 with its computed powder X-ray diffraction pattern. Radiation: CuKα. Structure: a crystal structure in the Materials Project, relaxed with PBE+U.

Most intense lines, 2θ from 5° to 70°, in order of rising 2θ:
2θ = 17.70°, rel. 100, (0 2 0); 2θ = 25.79°, rel. 4, (1 1 1); 2θ = 35.83°, rel. 10, (0 4 0); 2θ = 36.94°, rel. 32, (0 0 2); 2θ = 41.24°, rel. 58, (2 2 1); 2θ = 46.15°, rel. 12, (0 3 2); 2θ = 52.41°, rel. 54, (0 4 2); 2θ = 66.56°, rel. 21, (4 0 0); 2θ = 68.08°, rel. 17, (2 6 1); 2θ = 69.48°, rel. 11, (2 2 3)

Cell and atoms:
```
data_MgCo2O4
_chemical_formula_sum 'Mg4 Co8 O16'
_space_group_name_H-M_alt 'P m m n'
_space_group_IT_number 59
_cell_length_a 5.6168
_cell_length_b 10.0239
_cell_length_c 4.8692
_cell_angle_alpha 90.00
_cell_angle_beta 90.00
_cell_angle_gamma 90.00
loop_
_space_group_symop_operation_xyz
'x,y,z'
'-x,-y,-z'
'-x+1/2,-y+1/2,z'
'x+1/2,y+1/2,-z'
'x+1/2,-y,-z'
'-x+1/2,y,z'
'-x,y+1/2,-z'
'x,-y+1/2,z'
loop_
_atom_site_label
_atom_site_fract_x
_atom_site_fract_y
_atom_site_fract_z
Mg1 0.2500 0.2500 0.0301
Mg2 0.2500 0.7500 0.3548
Co1 0.0000 0.0000 0.5000
Co2 0.2500 0.5092 0.9916
O1 0.0016 0.1080 0.8340
O2 0.2500 0.0966 0.3159
O3 0.2500 0.6045 0.6507
```

=====

Entry 2:
This entry pairs a crystal structure of Mg3Co2O7 with its computed powder X-ray diffraction pattern. Radiation: CuKα. Structure: a crystal structure in the Materials Project, relaxed with PBE+U.

Most intense lines, 2θ from 5° to 70°, in order of rising 2θ:
2θ = 10.11°, rel. 18, (2 0 0); 2θ = 20.31°, rel. 37, (4 0 0); 2θ = 25.33°, rel. 58, (1 1 1); 2θ = 34.58°, rel. 32, (0 0 2); 2θ = 35.85°, rel. 100, (5 1 1); 2θ = 36.14°, rel. 27, (0 2 0); 2θ = 50.88°, rel. 32, (0 2 2); 2θ = 52.31°, rel. 18, (10 0 0); 2θ = 53.63°, rel. 16, (9 1 1); 2θ = 64.80°, rel. 34, (5 3 1)

Cell and atoms:
```
data_Mg3Co2O7
_chemical_formula_sum 'Mg12 Co8 O28'
_space_group_name_H-M_alt 'C m c 21'
_space_group_IT_number 36
_cell_length_a 17.4902
_cell_length_b 4.9708
_cell_length_c 5.1876
_cell_angle_alpha 90.00
_cell_angle_beta 90.00
_cell_angle_gamma 90.00
loop_
_space_group_symop_operation_xyz
'x,y,z'
'-x,-y,z+1/2'
'-x,y,z'
'x,-y,z+1/2'
'x+1/2,y+1/2,z'
'-x+1/2,-y+1/2,z+1/2'
'-x+1/2,y+1/2,z'
'x+1/2,-y+1/2,z+1/2'
loop_
_atom_site_label
_atom_site_fract_x
_atom_site_fract_y
_atom_site_fract_z
Mg1 0.0000 0.2281 0.0000
Mg2 0.1921 0.2428 0.1469
Co1 0.1018 0.2513 0.5701
O1 0.0000 0.3801 0.6240
O2 0.0758 0.0627 0.2598
O3 0.1328 0.4430 0.8697
O4 0.2026 0.1389 0.5285
```

=====

Entry 3:
This entry pairs a crystal structure of MgCo5O8 with its computed powder X-ray diffraction pattern. Radiation: CuKα. Structure: a crystal structure in the Materials Project, relaxed with PBE+U.

Most intense lines, 2θ from 5° to 70°, in order of rising 2θ:
2θ = 18.21°, rel. 48, (1 0 1); 2θ = 29.96°, rel. 28, (1 1 2); 2θ = 35.21°, rel. 50, (0 1 3); 2θ = 35.32°, rel. 100, (2 1 1); 2θ = 36.91°, rel. 20, (2 0 2); 2θ = 42.75°, rel. 17, (0 0 4); 2θ = 42.94°, rel. 33, (2 2 0); 2θ = 56.75°, rel. 39, (3 2 1); 2θ = 62.20°, rel. 49, (2 2 4); 2θ = 62.35°, rel. 24, (4 0 0)

Cell and atoms:
```
data_MgCo5O8
_chemical_formula_sum 'Mg2 Co10 O16'
_space_group_name_H-M_alt 'I m m 2'
_space_group_IT_number 44
_cell_length_a 5.9560
_cell_length_b 5.9583
_cell_length_c 8.4611
_cell_angle_alpha 90.00
_cell_angle_beta 90.00
_cell_angle_gamma 90.00
loop_
_space_group_symop_operation_xyz
'x,y,z'
'-x,-y,z'
'-x,y,z'
'x,-y,z'
'x+1/2,y+1/2,z+1/2'
'-x+1/2,-y+1/2,z+1/2'
'-x+1/2,y+1/2,z+1/2'
'x+1/2,-y+1/2,z+1/2'
loop_
_atom_site_label
_atom_site_fract_x
_atom_site_fract_y
_atom_site_fract_z
Mg1 0.0000 0.0000 0.0000
Co1 0.0000 0.2516 0.6250
Co2 0.0000 0.5000 0.2495
Co3 0.2476 0.5000 0.8731
O1 0.0000 0.2324 0.3834
O2 0.0000 0.2678 0.8635
O3 0.2308 0.5000 0.6340
O4 0.2335 0.0000 0.6148
```